The following is a calculated powder X-ray diffraction pattern of Fe2OF3. It was derived from a structure optimized by DFT (GGA+U), using Cu Ka.
No peak broadening, texture or thermal motion is included.

Most intense lines, 2θ from 10° to 80°, in order of rising 2θ:
- hkl 1 0 1, 19.85°, I 93
- hkl 1 1 1, 24.76°, I 93
- hkl 3 0 1, 31.27°, I 30
- hkl 2 2 0, 34.18°, I 33
- hkl 3 1 1, 34.68°, I 26
- hkl 1 2 1, 35.83°, I 29
- hkl 2 2 1, 38.87°, I 27
- hkl 4 0 2, 50.74°, I 100
- hkl 5 2 1, 56.40°, I 16
- hkl 6 2 0, 61.04°, I 27

Atomic structure:
Cell lengths 10.5283, 6.0515, 4.9397 Å; angles 90.00, 90.00, 90.00 degrees
Space group Pnma (No. 62)
One atom of each set of equivalent atoms:
Fe1 0.0000 0.0000 0.0000
Fe2 0.2397 0.2500 0.4875
O1 0.0760 0.7500 0.8311
F1 0.0846 0.2500 0.7608
F2 0.1634 0.0073 0.2332



The following is a calculated powder X-ray diffraction pattern of Fe5O8F2. It was derived from a structure optimized by DFT (GGA+U), using Cu Ka.
No peak broadening, texture or thermal motion is included.

Most intense lines, 2θ from 10° to 80°, in order of rising 2θ:
- hkl -1 1 1, 26.60°, I 100
- hkl 1 1 1, 27.49°, I 96
- hkl 0 2 -3, 35.38°, I 51
- hkl 1 1 -4, 35.57°, I 50
- hkl 0 2 2, 38.63°, I 20
- hkl -1 1 6, 53.14°, I 29
- hkl 1 3 -2, 53.88°, I 28
- hkl 1 1 6, 54.01°, I 28
- hkl 0 4 -1, 67.68°, I 20
- hkl 0 2 7, 68.03°, I 25

Atomic structure:
Cell lengths 4.6663, 5.5669, 12.8976 Å; angles 101.93, 90.37, 91.73 degrees
Space group P1 (No. 1)
One atom of each set of equivalent atoms:
Fe1 0.0000 0.0000 0.0000
Fe2 0.0015 0.3841 0.6073
Fe3 0.0172 0.2057 0.8081
Fe4 0.4626 0.9030 0.6025
Fe5 0.4943 0.6837 0.8048
Fe6 0.4960 0.0969 0.4048
Fe7 0.5166 0.2786 0.1989
Fe8 0.5253 0.4841 0.0032
Fe9 0.9777 0.8137 0.2091
Fe10 0.9937 0.5911 0.4046
O1 0.1761 0.3487 0.4689
O2 0.1894 0.9401 0.8623
O3 0.1924 0.1380 0.6726
O4 0.2949 0.8381 0.4615
O5 0.2989 0.6399 0.6660
O6 0.3039 0.0438 0.2657
O7 0.3164 0.2371 0.0631
O8 0.3165 0.4437 0.8736
O9 0.6832 0.1528 0.5432
O10 0.6943 0.3507 0.3423
O11 0.6968 0.5484 0.1423
O12 0.6986 0.7477 0.9448
O13 0.8032 0.8402 0.3452
O14 0.8116 0.4422 0.7447
O15 0.8154 0.2474 0.9360
O16 0.8174 0.0497 0.1373
F1 0.1956 0.5384 0.2614
F2 0.2023 0.7381 0.0675
F3 0.6937 0.9471 0.7410
F4 0.7906 0.6596 0.5480



The following is a calculated powder X-ray diffraction pattern of Fe5O2F8. It was derived from a structure optimized by DFT (GGA+U), using Cu Ka.
No peak broadening, texture or thermal motion is included.

Most intense lines, 2θ from 10° to 80°, in order of rising 2θ:
- hkl 1 1 2, 25.90°, I 100
- hkl -1 1 2, 26.44°, I 94
- hkl 0 1 -3, 33.63°, I 78
- hkl 0 3 1, 33.71°, I 26
- hkl 1 1 -3, 38.82°, I 19
- hkl 2 -1 3, 50.77°, I 32
- hkl 1 0 5, 50.89°, I 32
- hkl -2 3 1, 51.45°, I 28
- hkl 2 2 4, 53.25°, I 19
- hkl 0 4 -2, 57.66°, I 18

Atomic structure:
Cell lengths 4.8295, 7.9905, 10.1305 Å; angles 71.55, 88.92, 89.23 degrees
Space group P1 (No. 1)
One atom of each set of equivalent atoms:
Fe1 0.0000 0.0000 0.0000
Fe2 0.0020 0.3828 0.8026
Fe3 0.0043 0.7813 0.6077
Fe4 0.4638 0.4884 0.5160
Fe5 0.5014 0.8840 0.2978
Fe6 0.5058 0.6800 0.9176
Fe7 0.5300 0.0735 0.6949
Fe8 0.5486 0.2970 0.0881
Fe9 0.9812 0.1754 0.4146
Fe10 0.9846 0.5740 0.1969
O1 0.1914 0.5331 0.6327
O2 0.6776 0.5097 0.0933
O3 0.8071 0.2379 0.9628
O4 0.8171 0.0244 0.5694
F1 0.1880 0.3224 0.2387
F2 0.1934 0.7552 0.0292
F3 0.2065 0.9545 0.4139
F4 0.2123 0.1571 0.8072
F5 0.2878 0.4356 0.9297
F6 0.3015 0.2554 0.5131
F7 0.3040 0.6297 0.3320
F8 0.3052 0.8390 0.7329
F9 0.3264 0.0628 0.1175
F10 0.6855 0.7073 0.4830
F11 0.6982 0.3348 0.6713
F12 0.7013 0.9236 0.8842
F13 0.7087 0.1335 0.2750
F14 0.7922 0.4107 0.3960
F15 0.7943 0.6101 0.7868
F16 0.8124 0.8257 0.1877



The following is a calculated powder X-ray diffraction pattern of Fe5O4F8. It was derived from a structure optimized by DFT (GGA+U), using Cu Ka.
No peak broadening, texture or thermal motion is included.

Most intense lines, 2θ from 10° to 80°, in order of rising 2θ:
- hkl 0 0 2, 10.84°, I 8
- hkl 1 1 1, 19.44°, I 14
- hkl 1 1 3, 24.87°, I 100
- hkl 1 3 3, 35.81°, I 8
- hkl 0 4 0, 36.16°, I 25
- hkl 2 0 6, 47.37°, I 32
- hkl 1 5 3, 51.80°, I 22
- hkl 1 1 9, 54.14°, I 9
- hkl 3 1 3, 54.32°, I 10
- hkl 2 4 6, 61.01°, I 17

Atomic structure:
Cell lengths 5.4168, 9.9364, 16.3159 Å; angles 90.00, 90.00, 90.00 degrees
Space group F222 (No. 22)
One atom of each set of equivalent atoms:
Fe1 0.0000 0.0000 0.0000
Fe2 0.0000 0.0000 0.3374
Fe3 0.2500 0.2500 0.5909
O1 0.2390 0.0505 0.9196
F1 0.0000 0.2267 0.0000
F2 0.0127 0.2011 0.3340
F3 0.2500 0.0009 0.2500



The following is a calculated powder X-ray diffraction pattern of Fe4OF7. It was derived from a structure optimized by DFT (GGA+U), using Cu Ka.
No peak broadening, texture or thermal motion is included.

Most intense lines, 2θ from 10° to 80°, in order of rising 2θ:
- hkl 1 -1 2, 26.23°, I 100
- hkl 2 0 -1, 33.23°, I 58
- hkl 0 0 4, 37.43°, I 7
- hkl 2 0 1, 38.26°, I 16
- hkl 2 0 3, 50.84°, I 24
- hkl -3 1 3, 50.95°, I 41
- hkl 2 -2 4, 53.98°, I 20
- hkl 2 2 -2, 56.50°, I 11
- hkl 3 1 0, 63.30°, I 10
- hkl 1 1 -7, 64.88°, I 11

Atomic structure:
Cell lengths 5.7941, 5.8061, 10.1503 Å; angles 100.30, 100.32, 111.66 degrees
Space group P1 (No. 1)
One atom of each set of equivalent atoms:
Fe1 0.0000 0.0000 0.0000
Fe2 0.1137 0.6152 0.2408
Fe3 0.2479 0.2490 0.5070
Fe4 0.3762 0.8749 0.7514
Fe5 0.5169 0.4933 0.0042
Fe6 0.6359 0.1541 0.2440
Fe7 0.7659 0.7851 0.5048
Fe8 0.8855 0.3631 0.7438
O1 0.7206 0.4069 0.1542
O2 0.9366 0.1295 0.5906
F1 0.0231 0.3066 0.3459
F2 0.0412 0.8314 0.3998
F3 0.2040 0.3986 0.0987
F4 0.2477 0.9465 0.1584
F5 0.2906 0.5741 0.8505
F6 0.2968 0.0921 0.8993
F7 0.4696 0.6651 0.5938
F8 0.4757 0.1760 0.6520
F9 0.5306 0.8354 0.3451
F10 0.5693 0.3694 0.4046
F11 0.7035 0.9039 0.1079
F12 0.7730 0.0731 0.8536
F13 0.8141 0.6015 0.8966
F14 0.9745 0.6737 0.6413



The following is a calculated powder X-ray diffraction pattern of Fe6O7F5. It was derived from a structure optimized by DFT (GGA+U), using Cu Ka.
No peak broadening, texture or thermal motion is included.

Most intense lines, 2θ from 10° to 80°, in order of rising 2θ:
- hkl 1 1 1, 26.09°, I 100
- hkl -1 1 1, 27.46°, I 95
- hkl 0 0 3, 34.76°, I 24
- hkl 0 2 -1, 34.98°, I 51
- hkl 1 1 -2, 35.03°, I 26
- hkl 1 3 0, 52.11°, I 16
- hkl 2 2 -1, 52.24°, I 16
- hkl 2 2 2, 53.62°, I 57
- hkl -2 2 2, 56.67°, I 15
- hkl 0 2 -4, 60.42°, I 16

Atomic structure:
Cell lengths 4.6950, 5.6168, 7.7744 Å; angles 85.08, 88.09, 87.68 degrees
Space group P1 (No. 1)
One atom of each set of equivalent atoms:
Fe1 0.0000 0.0000 0.0000
Fe2 0.0033 0.3406 0.6497
Fe3 0.4662 0.1693 0.3097
Fe4 0.4701 0.5236 0.0062
Fe5 0.5109 0.8539 0.6838
Fe6 0.9839 0.6826 0.3387
O1 0.1782 0.0493 0.7612
O2 0.1864 0.3893 0.4236
O3 0.1856 0.7137 0.1201
O4 0.2958 0.2201 0.0907
O5 0.6790 0.8005 0.9044
O6 0.7925 0.9659 0.2397
O7 0.7976 0.6486 0.5605
F1 0.2894 0.5472 0.7672
F2 0.2977 0.8852 0.4431
F3 0.6766 0.1516 0.5588
F4 0.6928 0.4648 0.2266
F5 0.7837 0.3125 0.8901



> What is the formula in the fourth record?

Fe5O4F8